Na2PuNiF8: theoretical X-ray powder pattern (λ = 1.5418 Å (Cu Kα)), based on a crystal structure in Alexandria, relaxed with PBE+U.

Cell and atoms:
```
data_Na2PuNiF8
_space_group_name_H-M_alt 'P -1'
_space_group_IT_number 2
_cell_length_a 3.7584
_cell_length_b 5.4171
_cell_length_c 8.0251
_cell_angle_alpha 86.50
_cell_angle_beta 89.83
_cell_angle_gamma 88.45
loop_
_space_group_symop_operation_xyz
'x,y,z'
'-x,-y,-z'
loop_
_atom_site_label
_atom_site_fract_x
_atom_site_fract_y
_atom_site_fract_z
Na1 0.0053 0.0386 0.2128
Pu1 0.5000 0.5000 0.5000
Ni1 0.5000 0.5000 0.0000
F1 0.0015 0.7195 0.5501
F2 0.0656 0.7232 0.0351
F3 0.4856 0.1856 0.6765
F4 0.4892 0.3446 0.2311
```

Principal peaks in the range 2θ = 15–90°, low angle first:
- (0 1 0), 2θ = 16.40°, I 100.0
- (0 1 -1), 2θ = 20.37°, I 27.3
- (0 0 2), 2θ = 22.20°, I 45.4
- (1 0 0), 2θ = 23.68°, I 36.5
- (1 0 -1), 2θ = 26.20°, I 32.1
- (0 1 2), 2θ = 26.89°, I 50.1
- (1 1 0), 2θ = 28.55°, I 86.4
- (1 -1 0), 2θ = 29.31°, I 36.8
- (1 0 2), 2θ = 32.68°, I 23.5
- (1 1 2), 2θ = 35.77°, I 28.1